Simulated X-ray diffraction stick pattern of MnP2O7 for Cu Kα (λ = 1.5418 Å), from a GGA+U-relaxed structure.
Lines closer than 0.1° are merged.

Most intense lines, 2θ from 10° to 90°, in order of falling intensity:
hkl 1 0 -2, 2θ = 23.6°, rel. 1000; hkl 0 0 1, 2θ = 10.4°, rel. 706; hkl 1 0 2, 2θ = 31.7°, rel. 405; hkl 0 2 0, 2θ = 30.6°, rel. 382; hkl 1 -1 1, 2θ = 23.0°, rel. 291; hkl 0 1 1, 2θ = 20.7°, rel. 250; hkl 1 -2 1, 2θ = 31.3°, rel. 237; hkl 0 1 -1, 2θ = 15.8°, rel. 231; hkl -2 1 1, 2θ = 35.3°, rel. 136; hkl 1 1 -2, 2θ = 27.9°, rel. 127

a = 5.2069 Å, b = 6.2731 Å, c = 9.1041 Å
α = 102.43°, β = 102.62°, γ = 103.85°
Space group P-1 (No. 2)
Unique sites:
Mn: 0.2477 0.2473 0.1427 x2
P: 0.2115 0.8262 0.6458 x2
P: 0.3787 0.7671 0.1154 x2
O: 0.0128 0.2442 0.2771 x2
O: 0.1098 0.7947 0.4706 x2
O: 0.1734 0.9095 0.0897 x2
O: 0.2267 0.5499 0.1473 x2
O: 0.3713 0.0965 0.7320 x2
O: 0.4304 0.7001 0.6633 x2
O: 0.4925 0.7213 0.9748 x2


Simulated X-ray diffraction stick pattern of Cr2F5 for Cu Kα (λ = 1.5418 Å), from a GGA+U-relaxed structure.
Lines closer than 0.1° are merged.

Most intense lines, 2θ from 10° to 90°, in order of falling intensity:
hkl 0 2 0, 2θ = 23.3°, rel. 1000; hkl 2 0 -2, 2θ = 26.9°, rel. 841; hkl 2 0 0, 2θ = 25.9°, rel. 749; hkl 0 0 2, 2θ = 28.5°, rel. 396; hkl 0 4 0, 2θ = 47.7°, rel. 270; hkl 2 2 0, 2θ = 35.2°, rel. 248; hkl 2 2 2, 2θ = 54.4°, rel. 219; hkl 2 0 2, 2θ = 48.4°, rel. 219; hkl 2 4 0, 2θ = 55.1°, rel. 213; hkl 2 0 -4, 2θ = 50.0°, rel. 199

a = 8.0243 Å, b = 7.6234 Å, c = 7.3126 Å
α = 90.00°, β = 121.06°, γ = 90.00°
Space group C2/c (No. 15)
Unique sites:
Cr: 0.2500 0.2500 0.0000 x4
Cr: 0.2500 0.2500 0.5000 x4
F: 0.0000 0.1843 0.2500 x4
F: 0.1345 0.2243 0.6784 x8
F: 0.1808 0.4952 0.4593 x8


Simulated X-ray diffraction stick pattern of Li2V3SnO8 for Cu Kα (λ = 1.5418 Å), from a GGA+U-relaxed structure.
Lines closer than 0.1° are merged.

Most intense lines, 2θ from 10° to 90°, in order of falling intensity:
hkl 1 1 1, 2θ = 18.1°, rel. 1000; hkl 4 0 0, 2θ = 42.5°, rel. 557; hkl 3 1 1, 2θ = 35.0°, rel. 524; hkl 4 4 0, 2θ = 61.7°, rel. 340; hkl 5 1 1, 2θ = 56.2°, rel. 200; hkl 2 1 0, 2θ = 23.4°, rel. 169; hkl 2 2 2, 2θ = 36.6°, rel. 162; hkl 5 3 1, 2θ = 64.8°, rel. 156; hkl 3 3 1, 2θ = 46.5°, rel. 134; hkl 2 1 1, 2θ = 25.6°, rel. 108

a = 8.5105 Å, b = 8.5105 Å, c = 8.5105 Å
α = 90.00°, β = 90.00°, γ = 90.00°
Space group P4_332 (No. 212)
Unique sites:
Li: 0.0037 0.0037 0.0037 x8
V: 0.1118 0.1382 0.6250 x12
Sn: 0.1250 0.8750 0.3750 x4
O: 0.1036 0.1214 0.3883 x24
O: 0.1203 0.6203 0.8797 x8


Simulated X-ray diffraction stick pattern of Ba2Mn3Tl2Zn2O10 for Cu Kα (λ = 1.5418 Å), from a GGA+U-relaxed structure.
Lines closer than 0.1° are merged.

Most intense lines, 2θ from 10° to 90°, in order of falling intensity:
hkl 1 -1 0, 2θ = 33.3°, rel. 1000; hkl 0 1 5, 2θ = 30.3°, rel. 758; hkl 0 1 4, 2θ = 27.4°, rel. 625; hkl 1 0 4, 2θ = 29.9°, rel. 470; hkl 1 0 -4, 2θ = 31.4°, rel. 409; hkl 0 2 1, 2θ = 45.2°, rel. 338; hkl 0 0 7, 2θ = 32.0°, rel. 282; hkl -1 1 1, 2θ = 33.4°, rel. 254; hkl 2 1 5, 2θ = 58.8°, rel. 223; hkl 1 0 -3, 2θ = 28.7°, rel. 209

a = 3.6399 Å, b = 4.0109 Å, c = 19.6725 Å
α = 84.23°, β = 87.23°, γ = 89.96°
Space group P1 (No. 1)
Unique sites:
Ba: 0.0000 0.0000 0.0000 x1
Ba: 0.3199 0.2994 0.3973 x1
Mn: 0.4316 0.6459 0.7010 x1
Mn: 0.5387 0.5639 0.8666 x1
Mn: 0.8220 0.7329 0.5279 x1
Tl: 0.3982 0.4317 0.1412 x1
Tl: 0.8940 0.8724 0.2620 x1
Zn: 0.0101 0.1035 0.7861 x1
Zn: 0.2923 0.1989 0.5963 x1
O: 0.0200 0.9333 0.1432 x1
O: 0.0302 0.5463 0.9028 x1
O: 0.3155 0.7017 0.5902 x1
O: 0.3944 0.1476 0.6974 x1
O: 0.4553 0.3850 0.2482 x1
O: 0.4970 0.4841 0.0348 x1
O: 0.5182 0.0728 0.8487 x1
O: 0.8031 0.7832 0.4273 x1
O: 0.8321 0.2296 0.5351 x1
O: 0.9035 0.6176 0.7576 x1